# Li6Ac2Pd9
Simulated powder diffractogram, a wavelength of 1.5418 Å. Input: a structure optimized by DFT (PBE).

Cell and atoms:
Lattice parameters (Å, degrees): 5.5888 5.5888 11.9684 90.00 90.00 120.00
Sites, in units of the cell vectors:
1 Li 0.3333 0.6667 0.0000
2 Li 0.3333 0.6667 0.3394
3 Li 0.3333 0.6667 0.6606
4 Li 0.6667 0.3333 0.0000
5 Li 0.6667 0.3333 0.3394
6 Li 0.6667 0.3333 0.6606
7 Ac 0.0000 0.0000 0.3107
8 Ac 0.0000 0.0000 0.6893
9 Pd 0.0000 0.5000 0.1776
10 Pd 0.0000 0.5000 0.5000
11 Pd 0.0000 0.5000 0.8224
12 Pd 0.5000 0.0000 0.1776
13 Pd 0.5000 0.0000 0.5000
14 Pd 0.5000 0.0000 0.8224
15 Pd 0.5000 0.5000 0.1776
16 Pd 0.5000 0.5000 0.5000
17 Pd 0.5000 0.5000 0.8224

Most intense lines, 5 to 70 degrees two-theta, in order of falling intensity:
| hkl | 2θ (°) | I (rel.) |
| --- | --- | --- |
| 2 0 0 | 37.2 | 100 |
| 1 0 3 | 29.0 | 98 |
| 1 1 3 | 39.4 | 49 |
| 2 0 6 | 60.1 | 35 |
| 2 1 3 | 55.2 | 33 |
| 0 0 1 | 7.4 | 29 |
| 1 0 2 | 23.6 | 28 |
| 0 0 2 | 14.8 | 24 |